1.
Starting from a cell relaxed with GGA-PBE, the powder diffractogram of PmGdO3 was computed for λ = 1.5418 Å (Cu Kα).

Principal peaks in the range 2θ from 10° to 90°, in order of rising 2θ:
| d [Å] | intensity | index |
| --- | --- | --- |
| 3.246 | 28 | 1 0 0 |
| 2.965 | 28 | 0 0 2 |
| 2.847 | 100 | 1 0 1 |
| 2.189 | 25 | 1 0 2 |
| 1.874 | 31 | 1 1 0 |
| 1.688 | 27 | 0 1 3 |
| 1.584 | 26 | 1 1 2 |
| 1.565 | 17 | 0 2 1 |

Lattice parameters (Å, degrees): 3.7483 3.7483 5.9305 90.00 90.00 120.00
Positions (direct):
Pm (0.0000, 0.0000, 0.0000)
Gd (0.6667, 0.3333, 0.5044)
O (0.0000, 0.0000, 0.4063)
O (0.3333, 0.6667, 0.7549)
O (0.6667, 0.3333, 0.1173)

***

2.
Starting from a cell relaxed with GGA-PBE, the powder diffractogram of TeAu7 was computed for λ = 1.5418 Å (Cu Kα).

Principal peaks in the range 2θ from 10° to 90°, in order of rising 2θ:
| d [Å] | intensity | index |
| --- | --- | --- |
| 2.439 | 100 | 1 0 10 |
| 2.363 | 98 | 1 0 11 |
| 2.089 | 20 | 0 0 21 |
| 2.074 | 66 | 1 1 0 |
| 1.472 | 27 | 1 1 21 |
| 1.467 | 22 | 2 0 0 |
| 1.257 | 26 | 2 1 10 |
| 1.246 | 27 | 2 1 11 |

Lattice parameters (Å, degrees): 2.9334 2.9334 43.8718 90.00 90.00 90.00
Positions (direct):
Te (0.2500, 0.2500, 0.1291)
Te (0.7500, 0.7500, 0.8709)
Au (0.2500, 0.2500, 0.2411)
Au (0.2500, 0.2500, 0.3358)
Au (0.2500, 0.2500, 0.4295)
Au (0.2500, 0.2500, 0.5235)
Au (0.2500, 0.2500, 0.6173)
Au (0.2500, 0.2500, 0.7114)
Au (0.2500, 0.2500, 0.8064)
Au (0.7500, 0.7500, 0.1936)
Au (0.7500, 0.7500, 0.2886)
Au (0.7500, 0.7500, 0.3827)
Au (0.7500, 0.7500, 0.4765)
Au (0.7500, 0.7500, 0.5705)
Au (0.7500, 0.7500, 0.6642)
Au (0.7500, 0.7500, 0.7589)